# 1
This entry pairs a crystal structure of La5CuBr5 with its computed powder X-ray diffraction pattern. Radiation: Cu Ka. Structure: a cell relaxed with GGA-PBE.

Crystal structure
Cell: 7.284 7.284 8.877 Å, 107.96 107.96 49.18°
Fractional coordinates of all 11 atoms:
La (0.000, 0.000, 0.000)
La (0.324, 0.324, 0.147)
La (0.345, 0.345, 0.695)
La (0.655, 0.655, 0.305)
La (0.676, 0.676, 0.853)
Cu (0.500, 0.500, 0.000)
Br (0.149, 0.149, 0.800)
Br (0.162, 0.162, 0.353)
Br (0.500, 0.500, 0.500)
Br (0.838, 0.838, 0.647)
Br (0.851, 0.851, 0.200)

Main lines, low angle first (2θ from 10° to 80°):
d/Å, I_rel
3.035, 100
3.026, 43
2.898, 11
2.643, 11
2.219, 17
2.144, 69
2.077, 15
1.791, 19
1.713, 16
1.356, 15


# 2
This entry pairs a crystal structure of Na9Cd4Au with its computed powder X-ray diffraction pattern. Radiation: Cu Ka. Structure: a cell relaxed with GGA-PBE.

Crystal structure
Cell: 9.723 9.723 9.803 Å, 90.00 90.00 120.00°
Fractional coordinates of all 28 atoms:
Na (0.070, 0.535, 0.250)
Na (0.197, 0.393, 0.557)
Na (0.197, 0.393, 0.943)
Na (0.197, 0.803, 0.557)
Na (0.197, 0.803, 0.943)
Na (0.393, 0.197, 0.057)
Na (0.393, 0.197, 0.443)
Na (0.465, 0.535, 0.250)
Na (0.465, 0.930, 0.250)
Na (0.535, 0.070, 0.750)
Na (0.535, 0.465, 0.750)
Na (0.607, 0.803, 0.557)
Na (0.607, 0.803, 0.943)
Na (0.803, 0.197, 0.057)
Na (0.803, 0.197, 0.443)
Na (0.803, 0.607, 0.057)
Na (0.803, 0.607, 0.443)
Na (0.930, 0.465, 0.750)
Cd (0.000, 0.000, 0.000)
Cd (0.000, 0.000, 0.500)
Cd (0.112, 0.224, 0.250)
Cd (0.112, 0.888, 0.250)
Cd (0.224, 0.112, 0.750)
Cd (0.776, 0.888, 0.250)
Cd (0.888, 0.112, 0.750)
Cd (0.888, 0.776, 0.750)
Au (0.333, 0.667, 0.750)
Au (0.667, 0.333, 0.250)

Main lines, low angle first (2θ from 10° to 80°):
d/Å, I_rel
8.420, 71
6.387, 41
4.901, 33
4.862, 42
3.868, 76
2.698, 44
2.669, 100
2.581, 54
2.272, 43
1.900, 23